(1)
Structure and theoretical X-ray diffraction stick pattern of RbZn4P3 (the PBE geometry in the Materials Project; Cu Kα).
Intensities are scaled so that the largest is 100.

Structure:
Lattice parameters (Å, degrees): 4.0809 4.0809 10.2331 90.00 90.00 90.00
Fractional coordinates of all 8 atoms:
Rb 0.0000 0.0000 0.0000
Zn 0.0000 0.5000 0.3439
Zn 0.0000 0.5000 0.6561
Zn 0.5000 0.0000 0.3439
Zn 0.5000 0.0000 0.6561
P 0.0000 0.0000 0.5000
P 0.5000 0.5000 0.2161
P 0.5000 0.5000 0.7839

Largest 6 diffraction maxima, sorted by position, 15 to 90 degrees two-theta:
two_theta  I_rel
26.12  73
27.97  86
32.23  100
40.97  67
44.40  83
47.50  81

(2)
Structure and theoretical X-ray diffraction stick pattern of Re6P13 (the PBE geometry in the Materials Project; Cu Kα).
Intensities are scaled so that the largest is 100.

Structure:
Lattice parameters (Å, degrees): 9.5237 9.5237 9.5237 111.75 111.75 111.75
Fractional coordinates of all 38 atoms:
Re 0.0025 0.3344 0.2304
Re 0.1692 0.6792 0.5897
Re 0.2304 0.0025 0.3344
Re 0.3208 0.4103 0.8308
Re 0.3344 0.2304 0.0025
Re 0.4103 0.8308 0.3208
Re 0.5897 0.1692 0.6792
Re 0.6656 0.7696 0.9975
Re 0.6792 0.5897 0.1692
Re 0.7696 0.9975 0.6656
Re 0.8308 0.3208 0.4103
Re 0.9975 0.6656 0.7696
P 0.0968 0.2738 0.8876
P 0.1036 0.1115 0.5000
P 0.1115 0.5000 0.1036
P 0.1124 0.9032 0.7262
P 0.1204 0.4919 0.7048
P 0.1313 0.1313 0.1313
P 0.2738 0.8876 0.0968
P 0.2952 0.8796 0.5081
P 0.3037 0.5362 0.4968
P 0.4638 0.5032 0.6963
P 0.4919 0.7048 0.1204
P 0.4968 0.3037 0.5362
P 0.5000 0.1036 0.1115
P 0.5000 0.8964 0.8885
P 0.5032 0.6963 0.4638
P 0.5081 0.2952 0.8796
P 0.5362 0.4968 0.3037
P 0.6963 0.4638 0.5032
P 0.7048 0.1204 0.4919
P 0.7262 0.1124 0.9032
P 0.8687 0.8687 0.8687
P 0.8796 0.5081 0.2952
P 0.8876 0.0968 0.2738
P 0.8885 0.5000 0.8964
P 0.8964 0.8885 0.5000
P 0.9032 0.7262 0.1124

Largest 6 diffraction maxima, sorted by position, 15 to 90 degrees two-theta:
two_theta  I_rel
16.74  95
25.81  100
31.99  62
42.70  42
44.85  45
48.82  42